Diffraction record for Gd2SbO2. The X-ray diffraction stick pattern is theoretical, not measured: it uses a GGA-PBE-relaxed structure and CuKα.
Intensities are scaled so that the largest is 100.

Largest 10 diffraction maxima, by angle, 2θ from 5° to 70°:
30.4°, I = 100
32.5°, I = 36
40.2°, I = 10
46.5°, I = 9
46.7°, I = 9
52.6°, I = 24
56.6°, I = 17
56.7°, I = 17
67.0°, I = 10
68.1°, I = 5

Crystal structure
```
data_Gd2SbO2
_chemical_formula_sum 'Gd4 Sb2 O4'
_symmetry_space_group_name_H-M 'I m m 2'
_symmetry_Int_Tables_number 44
_symmetry_space_group_name_Hall 'I 2 -2'
_cell_length_a 3.9036
_cell_length_b 13.4566
_cell_length_c 3.8898
_cell_angle_alpha 90.00
_cell_angle_beta 90.00
_cell_angle_gamma 90.00
loop_
_atom_site_label
_atom_site_fract_x
_atom_site_fract_y
_atom_site_fract_z
Gd1 0.0000 0.1639 0.0000
Sb1 0.0000 0.5000 0.0200
O1 0.0000 0.2502 0.5017
```

Diffraction record for LiAl2. The X-ray diffraction stick pattern is theoretical, not measured: it uses a GGA-PBE-relaxed structure and CuKα.
Intensities are scaled so that the largest is 100.

Largest 10 diffraction maxima, by angle, 2θ from 5° to 70°:
16.0°, I = 29
30.9°, I = 9
32.3°, I = 100
37.5°, I = 69
41.0°, I = 32
49.4°, I = 40
54.1°, I = 34
57.7°, I = 8
64.4°, I = 15
67.7°, I = 8

Crystal structure
a b c (Å): 9.5908 9.5908 9.5908
angles (deg): 90.00 90.00 90.00
Space group Fd-3m (No. 227, origin choice 2)
Unique sites:
Li: 0.0000 0.0000 0.0000 [16 per cell]
Al: 0.0235 0.0235 0.7265 [32 per cell]

Diffraction record for SnC4N3O7. The X-ray diffraction stick pattern is theoretical, not measured: it uses a GGA-PBE-relaxed structure and CuKα.
Intensities are scaled so that the largest is 100.

Largest 10 diffraction maxima, by angle, 2θ from 5° to 70°:
7.3°, I = 100
10.7°, I = 20
13.3°, I = 15
14.7°, I = 16
15.5°, I = 14
18.0°, I = 11
18.7°, I = 40
19.5°, I = 12
25.4°, I = 32
31.2°, I = 17

Crystal structure
```
data_SnC4N3O7
_chemical_formula_sum 'Sn4 C16 N12 O28'
_symmetry_space_group_name_H-M 'P -1'
_symmetry_Int_Tables_number 2
_symmetry_space_group_name_Hall '-P 1'
_cell_length_a 8.2981
_cell_length_b 12.1458
_cell_length_c 12.2341
_cell_angle_alpha 83.11
_cell_angle_beta 88.89
_cell_angle_gamma 86.72
loop_
_atom_site_label
_atom_site_fract_x
_atom_site_fract_y
_atom_site_fract_z
Sn1 0.1851 0.0588 0.1883
Sn2 0.1935 0.0564 0.6889
C1 0.0304 0.6528 0.0598
C2 0.0379 0.0464 0.4597
C3 0.0796 0.9926 0.9660
C4 0.1444 0.5993 0.7935
C5 0.1678 0.5758 0.4305
C6 0.4566 0.3337 0.9903
C7 0.4770 0.8000 0.4359
C8 0.4899 0.2736 0.2920
N1 0.1474 0.5441 0.3417
N2 0.1545 0.6550 0.5108
N3 0.2248 0.5628 0.5442
N4 0.4043 0.3830 0.0609
N5 0.4427 0.8030 0.1122
N6 0.4893 0.7097 0.1018
O1 0.0023 0.8479 0.2629
O2 0.0208 0.9355 0.6380
O3 0.0567 0.6777 0.7695
O4 0.0636 0.2728 0.9655
O5 0.0687 0.9502 0.8752
O6 0.1251 0.5782 0.0827
O7 0.1500 0.0976 0.4937
O8 0.1637 0.8936 0.2538
O9 0.2078 0.0219 0.0035
O10 0.2341 0.5220 0.8174
O11 0.4084 0.3331 0.3415
O12 0.4158 0.8733 0.4794
O13 0.4264 0.7872 0.7552
O14 0.4604 0.2737 0.6062
```